1.
Diffraction record for CoH4NCl3. The XRD peak list is theoretical, not measured: it uses the PBE geometry in Alexandria and Cu Kα X-rays.
No peak broadening, texture or thermal motion is included.

Top 8 peaks for 10° ≤ 2θ ≤ 90°, by angle:
2theta, I (rel.)
14.18, 1000
32.24, 101
32.36, 102
32.54, 100
41.71, 77
41.93, 76
50.64, 83
52.86, 111

Lattice parameters (Å, degrees): 5.9503 7.2128 12.4876 90.08 90.67 90.29
Atoms (fractional coordinates):
1 Co 0.0000 0.0000 0.0000
2 Co 0.0053 0.5010 0.5003
3 Co 0.4776 0.5014 0.4999
4 Co 0.5278 0.0006 0.0006
5 H 0.2571 0.0778 0.3956
6 H 0.2599 0.5569 0.7647
7 H 0.2598 0.8647 0.3352
8 H 0.2714 0.3605 0.8420
9 H 0.2725 0.5755 0.9014
10 H 0.2750 0.0617 0.2588
11 H 0.4908 0.9986 0.3388
12 H 0.4947 0.5020 0.8319
13 H 0.5202 0.5012 0.1599
14 H 0.7359 0.4414 0.2406
15 H 0.7486 0.6384 0.1641
16 H 0.7564 0.4252 0.1040
17 H 0.7618 0.1387 0.6605
18 H 0.7632 0.9419 0.7376
19 H 0.7665 0.9241 0.6008
20 H 0.9909 0.0053 0.6690
21 N 0.3181 0.0008 0.3319
22 N 0.3218 0.4985 0.8351
23 N 0.6929 0.5016 0.1674
24 N 0.8178 0.0025 0.6669
25 Cl 0.2361 0.5551 0.3466
26 Cl 0.2410 0.2436 0.5486
27 Cl 0.2433 0.7024 0.6046
28 Cl 0.2590 0.0516 0.8513
29 Cl 0.2617 0.7511 0.0490
30 Cl 0.2671 0.1985 0.1002
31 Cl 0.7398 0.3052 0.3992
32 Cl 0.7398 0.7513 0.4531
33 Cl 0.7424 0.4473 0.6486
34 Cl 0.7580 0.7962 0.8972
35 Cl 0.7662 0.2569 0.9502
36 Cl 0.7692 0.9484 0.1542

2.
Diffraction record for CoH6N2Cl2. The XRD peak list is theoretical, not measured: it uses the PBE geometry in Alexandria and Cu Kα X-rays.
No peak broadening, texture or thermal motion is included.

Top 8 peaks for 10° ≤ 2θ ≤ 90°, by angle:
2theta, I (rel.)
15.73, 1000
22.34, 350
33.20, 567
35.67, 142
40.38, 235
43.56, 313
54.93, 122
57.56, 173

Lattice parameters (Å, degrees): 6.7213 6.7213 6.7213 113.94 107.41 107.15
Atoms (fractional coordinates):
1 Co 0.4904 0.2404 0.2500
2 Co 0.5096 0.7596 0.7500
3 H 0.0976 0.6501 0.4475
4 H 0.1283 0.0585 0.8471
5 H 0.1283 0.2812 0.0698
6 H 0.2886 0.7188 0.3471
7 H 0.2886 0.9415 0.5698
8 H 0.2974 0.3499 0.9475
9 H 0.7026 0.6501 0.0525
10 H 0.7114 0.0585 0.4302
11 H 0.7114 0.2812 0.6529
12 H 0.8717 0.7188 0.9302
13 H 0.8717 0.9415 0.1529
14 H 0.9024 0.3499 0.5525
15 N 0.2375 0.2341 0.0035
16 N 0.2694 0.7659 0.5035
17 N 0.7306 0.2341 0.4965
18 N 0.7625 0.7659 0.9965
19 Cl 0.2952 0.3023 0.5072
20 Cl 0.2952 0.7880 0.9928
21 Cl 0.7048 0.2120 0.0072
22 Cl 0.7048 0.6977 0.4928